Starting from DFT lattice parameters and positions (GGA+U), the XRD peak list of FeSO7 was simulated for Cu Kα.

Crystal structure
a b c (Å): 4.626 6.188 8.430
angles (deg): 90.00 96.51 90.00
Space group P2_1/m (No. 11)
Unique sites:
Fe 0.000 0.000 0.000 [2 per cell]
S 0.497 0.250 0.214 [2 per cell]
O 0.114 0.250 0.904 [2 per cell]
O 0.154 0.152 0.582 [4 per cell]
O 0.268 0.750 0.900 [2 per cell]
O 0.315 0.050 0.179 [4 per cell]
O 0.379 0.750 0.622 [2 per cell]

Top 12 peaks for 2θ = 10–90°, sorted by position:
- (0 0 1), 10.56°, intensity 100
- (0 1 1), 17.82°, intensity 24
- (1 0 1), 23.10°, intensity 11
- (1 1 -1), 25.48°, intensity 14
- (1 0 -2), 27.13°, intensity 51
- (1 1 1), 27.28°, intensity 26
- (1 0 2), 30.46°, intensity 10
- (0 2 1), 30.81°, intensity 12
- (1 2 0), 34.96°, intensity 14
- (1 2 -1), 35.94°, intensity 22
- (1 0 3), 39.62°, intensity 18
- (2 0 1), 41.93°, intensity 9